CsBi2Te2: calculated powder X-ray diffraction pattern (Cu Ka), based on a DFT-relaxed cell (PBE, Alexandria).
Peak positions follow from Bragg's law for the DFT cell and can differ from measured ones.

Structure:
```
data_CsBi2Te2
_chemical_formula_sum 'Cs2 Bi4 Te4'
_symmetry_space_group_name_H-M 'P 1'
_symmetry_Int_Tables_number 1
_cell_length_a 8.975
_cell_length_b 8.975
_cell_length_c 8.085
_cell_angle_alpha 114.38
_cell_angle_beta 114.38
_cell_angle_gamma 104.76
loop_
_symmetry_equiv_pos_as_xyz
'x,y,z'
loop_
_atom_site_label
_atom_site_type_symbol
_atom_site_fract_x
_atom_site_fract_y
_atom_site_fract_z
Cs1 Cs 0.125 0.875 0.750
Cs2 Cs 0.875 0.125 0.250
Bi1 Bi 0.247 0.497 0.995
Bi2 Bi 0.497 0.247 0.495
Bi3 Bi 0.503 0.753 0.505
Bi4 Bi 0.753 0.503 0.005
Te1 Te 0.162 0.838 0.250
Te2 Te 0.411 0.589 0.750
Te3 Te 0.589 0.411 0.250
Te4 Te 0.838 0.162 0.750
```

Main lines, in order of rising 2θ (5 to 70 degrees two-theta):
2θ/deg	I/Imax
12.6	87.7
20.5	67.8
22.0	77.9
24.7	61.8
25.1	100.0
30.5	90.3
32.7	66.6
36.6	80.6
38.5	48.4
41.6	52.9